(1)
Starting from a PBE-relaxed structure, the powder XRD pattern of Pm2CuH6Rh was calculated for Cu Kα (λ = 1.5418 Å).

Cell lengths 5.032, 5.032, 8.146 Å; angles 90.00, 90.00, 90.00 degrees
Space group I4mm (No. 107)
Asymmetric unit:
Pm 0.000 0.500 0.000
Cu 0.000 0.000 0.249
H 0.000 0.000 0.459
H 0.000 0.000 0.992
H 0.245 0.245 0.728
Rh 0.000 0.000 0.772

Most intense lines, 2θ from 10° to 90°, in order of rising 2θ:
| 2theta | d (Å) | I_rel | h k l |
| --- | --- | --- | --- |
| 33.44 | 2.680 | 1000 | 1 1 2 |
| 35.69 | 2.516 | 424 | 2 0 0 |
| 44.49 | 2.036 | 112 | 0 0 4 |
| 51.36 | 1.779 | 154 | 2 2 0 |
| 58.29 | 1.583 | 193 | 2 0 4 |
| 62.69 | 1.482 | 320 | 3 1 2 |
| 70.26 | 1.340 | 111 | 2 2 4 |
| 74.86 | 1.268 | 85 | 1 1 6 |
| 85.22 | 1.139 | 68 | 3 3 2 |
| 86.50 | 1.125 | 67 | 4 2 0 |

***

(2)
Starting from a PBE-relaxed structure, the powder XRD pattern of PmCuH6Ru was calculated for Cu Kα (λ = 1.5418 Å).

Cell lengths 4.6346, 4.6346, 4.3176 Å; angles 90.00, 90.00, 120.00 degrees
Space group P-6m2 (No. 187)
Asymmetric unit:
Pm 0.0000 0.0000 0.0000
Cu 0.3333 0.6667 0.5000
H 0.5068 0.0136 0.2378
Ru 0.6667 0.3333 0.5000

Most intense lines, 2θ from 10° to 90°, in order of rising 2θ:
| 2theta | d (Å) | I_rel | h k l |
| --- | --- | --- | --- |
| 22.15 | 4.014 | 81 | 1 0 0 |
| 30.41 | 2.940 | 1000 | 1 0 1 |
| 38.86 | 2.317 | 467 | 1 1 0 |
| 41.84 | 2.159 | 122 | 0 0 2 |
| 50.13 | 1.820 | 246 | 2 0 1 |
| 58.43 | 1.580 | 284 | 1 1 2 |
| 65.18 | 1.431 | 220 | 2 1 1 |
| 69.37 | 1.355 | 91 | 1 0 3 |
| 70.37 | 1.338 | 79 | 3 0 0 |
| 85.36 | 1.137 | 95 | 3 0 2 |

***

(3)
Starting from a PBE-relaxed structure, the powder XRD pattern of PmCuSbH was calculated for Cu Kα (λ = 1.5418 Å).

Cell lengths 4.3396, 4.3396, 4.4168 Å; angles 90.00, 90.00, 120.00 degrees
Space group P3m1 (No. 156)
Asymmetric unit:
Pm 0.0000 0.0000 0.0000
Cu 0.6667 0.3333 0.5951
Sb 0.3333 0.6667 0.4703
H 0.6667 0.3333 0.9710

Most intense lines, 2θ from 10° to 90°, in order of rising 2θ:
| 2theta | d (Å) | I_rel | h k l |
| --- | --- | --- | --- |
| 23.67 | 3.758 | 73 | 1 0 0 |
| 31.25 | 2.862 | 1000 | 0 1 1 |
| 40.86 | 2.208 | 108 | 0 0 2 |
| 41.62 | 2.170 | 428 | 1 1 0 |
| 47.77 | 1.904 | 102 | 1 0 2 |
| 52.95 | 1.729 | 224 | 2 0 1 |
| 59.75 | 1.548 | 208 | 1 1 2 |
| 68.44 | 1.371 | 100 | 0 1 3 |
| 69.51 | 1.352 | 195 | 1 2 1 |
| 75.96 | 1.253 | 70 | 3 0 0 |

***

(4)
Starting from a PBE-relaxed structure, the powder XRD pattern of PrCuH8Pt2 was calculated for Cu Kα (λ = 1.5418 Å).

Cell lengths 4.7582, 4.7582, 17.3209 Å; angles 90.00, 90.00, 120.00 degrees
Space group R-3 (No. 148, hexagonal axes)
Asymmetric unit:
Pr 0.0000 0.0000 0.0000
Cu 0.0000 0.0000 0.5000
H 0.0000 0.0000 0.3222
H 0.0063 0.2970 0.5617
Pt 0.0000 0.0000 0.2286

Most intense lines, 2θ from 10° to 90°, in order of rising 2θ:
| 2theta | d (Å) | I_rel | h k l |
| --- | --- | --- | --- |
| 23.91 | 3.721 | 147 | 0 1 2 |
| 29.93 | 2.985 | 1000 | 1 0 4 |
| 33.80 | 2.652 | 238 | 0 1 5 |
| 37.81 | 2.379 | 650 | 1 1 0 |
| 47.43 | 1.917 | 147 | 0 1 8 |
| 48.96 | 1.860 | 258 | 0 2 4 |
| 62.03 | 1.496 | 166 | 2 -1 9 |
| 63.47 | 1.466 | 236 | 3 -1 4 |
| 68.28 | 1.374 | 117 | 3 0 0 |
| 87.16 | 1.118 | 107 | 0 2 13 |

***

(5)
Starting from a PBE-relaxed structure, the powder XRD pattern of PrCuH6Ru was calculated for Cu Kα (λ = 1.5418 Å).

Cell lengths 4.6723, 4.6723, 4.3671 Å; angles 90.00, 90.00, 120.00 degrees
Space group P-6m2 (No. 187)
Asymmetric unit:
Pr 0.0000 0.0000 0.0000
Cu 0.3333 0.6667 0.5000
H 0.5069 0.0138 0.2429
Ru 0.6667 0.3333 0.5000

Most intense lines, 2θ from 10° to 90°, in order of rising 2θ:
| 2theta | d (Å) | I_rel | h k l |
| --- | --- | --- | --- |
| 21.97 | 4.046 | 73 | 1 0 0 |
| 30.11 | 2.968 | 1000 | 1 0 1 |
| 38.54 | 2.336 | 471 | 1 1 0 |
| 41.35 | 2.184 | 124 | 0 0 2 |
| 49.66 | 1.836 | 246 | 2 0 1 |
| 57.80 | 1.595 | 289 | 1 1 2 |
| 64.57 | 1.443 | 219 | 2 1 1 |
| 68.50 | 1.370 | 92 | 1 0 3 |
| 69.72 | 1.349 | 79 | 3 0 0 |
| 84.42 | 1.148 | 96 | 3 0 2 |

***

(6)
Starting from a PBE-relaxed structure, the powder XRD pattern of Cu2H2Pt was calculated for Cu Kα (λ = 1.5418 Å).

Cell lengths 3.707, 3.707, 3.778 Å; angles 90.00, 90.00, 90.00 degrees
Space group P4/mmm (No. 123)
Asymmetric unit:
Cu 0.000 0.500 0.000
H 0.000 0.500 0.500
Pt 0.000 0.000 0.500

Most intense lines, 2θ from 10° to 90°, in order of rising 2θ:
| 2theta | d (Å) | I_rel | h k l |
| --- | --- | --- | --- |
| 24.00 | 3.707 | 734 | 1 0 0 |
| 33.87 | 2.646 | 615 | 1 0 1 |
| 41.95 | 2.154 | 1000 | 1 1 1 |
| 48.17 | 1.889 | 171 | 0 0 2 |
| 49.15 | 1.854 | 322 | 2 0 0 |
| 54.51 | 1.683 | 162 | 1 0 2 |
| 55.42 | 1.658 | 154 | 2 1 0 |
| 61.03 | 1.518 | 231 | 2 1 1 |
| 71.27 | 1.323 | 205 | 2 0 2 |
| 87.02 | 1.120 | 241 | 3 1 1 |